Diffraction record for Ac3CoAg3O8. The powder XRD pattern is simulated, not measured: it uses a structure optimized by DFT (GGA+U) and Cu Ka.

Atomic structure:
Lattice parameters (Å, degrees): 12.837 7.794 7.897 90.00 126.63 90.00
Space group C2/m (No. 12)
Inequivalent atoms, fractional coordinates:
Ac 0.000 0.000 0.000 (multiplicity 2)
Ac 0.250 0.250 0.000 (multiplicity 4)
Co 0.000 0.500 0.000 (multiplicity 2)
Ag 0.000 0.000 0.500 (multiplicity 2)
Ag 0.250 0.250 0.500 (multiplicity 4)
O 0.082 0.500 0.878 (multiplicity 4)
O 0.108 0.000 0.826 (multiplicity 4)
O 0.142 0.256 0.179 (multiplicity 8)

Most intense lines, 15° ≤ 2θ ≤ 90°, in order of rising 2θ:
index  2θ (°)  Rel. int.
0 0 2  28.16  30
2 2 0  28.75  100
2 2 -2  32.28  37
4 0 0  34.84  16
2 2 2  47.81  18
6 2 -2  48.63  18
2 2 -4  54.74  12
6 2 -4  55.51  11